Starting from a PBE-relaxed structure, the powder XRD pattern of ZnPd15 was simulated for CuKα.
Kinematic intensities with the Lorentz-polarization factor, no thermal factor.

The 10 most intense peaks (2θ = 10–80°), in order of rising 2θ:
two_theta  I (rel.)  (hkl)
39.10  80  0 1 11
39.28  79  2 0 11
40.30  41  0 1 12
40.48  41  2 0 12
44.12  16  0 0 22
46.28  100  2 1 0
65.85  19  2 1 22
67.28  12  0 2 0
67.49  31  2 1 23
67.78  12  4 0 0

Atomic structure:
```
data_ZnPd15
_chemical_formula_sum 'Zn2 Pd30'
_symmetry_space_group_name_H-M 'P 1 21/m 1'
_symmetry_Int_Tables_number 11
_cell_length_a 5.5309
_cell_length_b 2.7836
_cell_length_c 45.1573
_cell_angle_alpha 90.00
_cell_angle_beta 90.01
_cell_angle_gamma 90.00
loop_
_symmetry_equiv_pos_as_xyz
'x,y,z'
'-x,-y,-z'
'-x,y+1/2,-z'
'x,-y+1/2,z'
loop_
_atom_site_label
_atom_site_type_symbol
_atom_site_fract_x
_atom_site_fract_y
_atom_site_fract_z
Zn1 Zn 0.1249 0.2500 0.1739
Pd1 Pd 0.1241 0.2500 0.6985
Pd2 Pd 0.1250 0.2500 0.2569
Pd3 Pd 0.1251 0.2500 0.3457
Pd4 Pd 0.1250 0.2500 0.4339
Pd5 Pd 0.1250 0.2500 0.5220
Pd6 Pd 0.1250 0.2500 0.6101
Pd7 Pd 0.1266 0.2500 0.7878
Pd8 Pd 0.3742 0.7500 0.3015
Pd9 Pd 0.3749 0.7500 0.3899
Pd10 Pd 0.3750 0.7500 0.4780
Pd11 Pd 0.3750 0.7500 0.5661
Pd12 Pd 0.3749 0.7500 0.6542
Pd13 Pd 0.3750 0.7500 0.7425
Pd14 Pd 0.3750 0.7500 0.8322
Pd15 Pd 0.3764 0.7500 0.2122
```



Starting from a PBE-relaxed structure, the powder XRD pattern of Nd3MgAgHg3Pt was simulated for CuKα.
Kinematic intensities with the Lorentz-polarization factor, no thermal factor.

The 10 most intense peaks (2θ = 10–80°), in order of rising 2θ:
two_theta  I (rel.)  (hkl)
12.53  24  1 0 0
31.78  100  1 1 1
33.57  45  1 2 0
34.28  67  2 0 1
38.22  44  3 0 0
40.99  29  2 1 1
46.66  19  0 0 2
58.70  18  1 2 2
61.84  22  3 0 2
62.03  36  2 3 1

Atomic structure:
```
data_Nd3MgAgHg3Pt
_chemical_formula_sum 'Nd3 Mg1 Ag1 Hg3 Pt1'
_symmetry_space_group_name_H-M 'P -6'
_symmetry_Int_Tables_number 174
_cell_length_a 8.1568
_cell_length_b 8.1568
_cell_length_c 3.8930
_cell_angle_alpha 90.00
_cell_angle_beta 90.00
_cell_angle_gamma 120.00
loop_
_symmetry_equiv_pos_as_xyz
'x,y,z'
'-x+y,-x,-z'
'-y,x-y,z'
'x,y,-z'
'-x+y,-x,z'
'-y,x-y,-z'
loop_
_atom_site_label
_atom_site_type_symbol
_atom_site_fract_x
_atom_site_fract_y
_atom_site_fract_z
Nd1 Nd 0.0807 0.3707 0.0000
Mg1 Mg 0.0000 0.0000 0.5000
Ag1 Ag 0.6667 0.3333 0.0000
Hg1 Hg 0.3795 0.3094 0.5000
Pt1 Pt 0.3333 0.6667 0.5000
```



Starting from a PBE-relaxed structure, the powder XRD pattern of CdIn2Ga was simulated for CuKα.
Kinematic intensities with the Lorentz-polarization factor, no thermal factor.

The 10 most intense peaks (2θ = 10–80°), in order of rising 2θ:
two_theta  I (rel.)  (hkl)
31.87  36  0 2 0
32.43  35  2 0 0
36.41  100  1 1 2
46.11  25  2 2 0
59.78  22  1 3 2
60.46  22  3 1 2
67.94  11  4 0 0
68.28  7  2 0 4
77.33  11  2 2 4
78.96  10  3 3 2

Atomic structure:
```
data_CdIn2Ga
_chemical_formula_sum 'Cd2 In4 Ga2'
_symmetry_space_group_name_H-M 'P 2 2 21'
_symmetry_Int_Tables_number 17
_cell_length_a 5.5224
_cell_length_b 5.6154
_cell_length_c 6.3339
_cell_angle_alpha 90.00
_cell_angle_beta 90.00
_cell_angle_gamma 90.00
loop_
_symmetry_equiv_pos_as_xyz
'x,y,z'
'-x,-y,z+1/2'
'x,-y,-z'
'-x,y,-z+1/2'
loop_
_atom_site_label
_atom_site_type_symbol
_atom_site_fract_x
_atom_site_fract_y
_atom_site_fract_z
Cd1 Cd 0.0000 0.0058 0.2500
In1 In 0.4987 0.0000 0.5000
In2 In 0.5000 0.5001 0.2500
Ga1 Ga 0.0008 0.5000 0.0000
```



Starting from a PBE-relaxed structure, the powder XRD pattern of K3Cd4Pt4 was simulated for CuKα.
Kinematic intensities with the Lorentz-polarization factor, no thermal factor.

The 10 most intense peaks (2θ = 10–80°), in order of rising 2θ:
two_theta  I (rel.)  (hkl)
14.97  100  1 1 0
30.20  20  2 2 0
33.86  38  3 1 0
37.21  19  2 2 2
40.31  63  3 2 1
46.00  37  4 1 1
51.18  11  3 3 2
56.01  13  5 1 0
69.18  18  6 1 1
75.30  13  6 2 2

Atomic structure:
```
data_K3Cd4Pt4
_chemical_formula_sum 'K6 Cd8 Pt8'
_symmetry_space_group_name_H-M 'I -4 3 m'
_symmetry_Int_Tables_number 217
_symmetry_space_group_name_Hall 'I -4 2 3'
_cell_length_a 8.3714
_cell_length_b 8.3714
_cell_length_c 8.3714
_cell_angle_alpha 90.00
_cell_angle_beta 90.00
_cell_angle_gamma 90.00
loop_
_atom_site_label
_atom_site_type_symbol
_atom_site_fract_x
_atom_site_fract_y
_atom_site_fract_z
K1 K 0.0000 0.0000 0.5000
Cd1 Cd 0.2002 0.2002 0.7998
Pt1 Pt 0.1169 0.1169 0.1169
```



Starting from a PBE-relaxed structure, the powder XRD pattern of RbDyGaSe3 was simulated for CuKα.
Kinematic intensities with the Lorentz-polarization factor, no thermal factor.

The 10 most intense peaks (2θ = 10–80°), in order of rising 2θ:
two_theta  I (rel.)  (hkl)
11.56  100  2 0 0
26.97  20  2 0 3
27.34  60  3 1 1
30.82  42  3 1 2
31.48  24  4 1 1
34.67  25  2 0 4
38.95  41  5 1 2
39.20  32  0 2 0
47.34  16  2 1 5
49.00  21  7 1 2

Atomic structure:
```
data_RbDyGaSe3
_chemical_formula_sum 'Rb4 Dy4 Ga4 Se12'
_symmetry_space_group_name_H-M 'P n m a'
_symmetry_Int_Tables_number 62
_cell_length_a 15.3116
_cell_length_b 4.5968
_cell_length_c 10.9961
_cell_angle_alpha 90.00
_cell_angle_beta 90.00
_cell_angle_gamma 90.00
loop_
_symmetry_equiv_pos_as_xyz
'x,y,z'
'-x,-y,-z'
'-x+1/2,-y,z+1/2'
'x+1/2,y,-z+1/2'
'x+1/2,-y+1/2,-z+1/2'
'-x+1/2,y+1/2,z+1/2'
'-x,y+1/2,-z'
'x,-y+1/2,z'
loop_
_atom_site_label
_atom_site_type_symbol
_atom_site_fract_x
_atom_site_fract_y
_atom_site_fract_z
Rb1 Rb 0.2348 0.2500 0.0428
Dy1 Dy 0.0194 0.2500 0.3505
Ga1 Ga 0.0062 0.2500 0.8925
Se1 Se 0.0760 0.7500 0.8873
Se2 Se 0.0923 0.2500 0.5817
Se3 Se 0.1220 0.7500 0.2525
```



Starting from a PBE-relaxed structure, the powder XRD pattern of LiAuSe was simulated for CuKα.
Kinematic intensities with the Lorentz-polarization factor, no thermal factor.

The 10 most intense peaks (2θ = 10–80°), in order of rising 2θ:
two_theta  I (rel.)  (hkl)
15.33  100  1 1 -1
24.23  24  0 2 1
26.42  55  1 1 -2
30.92  79  2 2 0
31.01  79  2 2 -2
37.99  32  3 1 0
38.22  23  3 1 -3
41.55  26  3 3 -1
49.62  39  0 4 2
50.00  21  4 0 -4

Atomic structure:
```
data_LiAuSe
_chemical_formula_sum 'Li8 Au8 Se8'
_symmetry_space_group_name_H-M 'C 1 2/c 1'
_symmetry_Int_Tables_number 15
_cell_length_a 9.3472
_cell_length_b 9.4192
_cell_length_c 7.4892
_cell_angle_alpha 90.00
_cell_angle_beta 128.29
_cell_angle_gamma 90.00
loop_
_symmetry_equiv_pos_as_xyz
'x,y,z'
'-x,-y,-z'
'-x,y,-z+1/2'
'x,-y,z+1/2'
'x+1/2,y+1/2,z'
'-x+1/2,-y+1/2,-z'
'-x+1/2,y+1/2,-z+1/2'
'x+1/2,-y+1/2,z+1/2'
loop_
_atom_site_label
_atom_site_type_symbol
_atom_site_fract_x
_atom_site_fract_y
_atom_site_fract_z
Li1 Li 0.1569 0.1259 0.0660
Au1 Au 0.0000 0.5000 0.0000
Au2 Au 0.2500 0.2500 0.5000
Se1 Se 0.2054 0.1240 0.7503
```



What did the fourth record say?
Starting from a PBE-relaxed structure, the powder XRD pattern of K3Cd4Pt4 was simulated for CuKα.
Kinematic intensities with the Lorentz-polarization factor, no thermal factor.

The 10 most intense peaks (2θ = 10–80°), in order of rising 2θ:
two_theta  I (rel.)  (hkl)
14.97  100  1 1 0
30.20  20  2 2 0
33.86  38  3 1 0
37.21  19  2 2 2
40.31  63  3 2 1
46.00  37  4 1 1
51.18  11  3 3 2
56.01  13  5 1 0
69.18  18  6 1 1
75.30  13  6 2 2

Atomic structure:
```
data_K3Cd4Pt4
_chemical_formula_sum 'K6 Cd8 Pt8'
_symmetry_space_group_name_H-M 'I -4 3 m'
_symmetry_Int_Tables_number 217
_symmetry_space_group_name_Hall 'I -4 2 3'
_cell_length_a 8.3714
_cell_length_b 8.3714
_cell_length_c 8.3714
_cell_angle_alpha 90.00
_cell_angle_beta 90.00
_cell_angle_gamma 90.00
loop_
_atom_site_label
_atom_site_type_symbol
_atom_site_fract_x
_atom_site_fract_y
_atom_site_fract_z
K1 K 0.0000 0.0000 0.5000
Cd1 Cd 0.2002 0.2002 0.7998
Pt1 Pt 0.1169 0.1169 0.1169
```